K2In3CuSe6: theoretical PXRD pattern (Cu Kα (λ = 1.5418 Å)), based on a cell relaxed with GGA-PBE.

Cell and atoms:
```
K2In3CuSe6
1.0
5.836 -5.845 0.000
5.836 5.845 0.000
-2.960 0.000 21.604
K In Cu Se
8 12 4 24
Cartesian
2.413 3.881 19.852
4.818 3.881 12.554
2.420 0.447 12.558
3.900 -0.447 1.756
4.811 0.447 19.847
6.291 -0.447 9.046
3.893 -3.881 9.050
6.298 -3.881 1.752
3.615 5.114 16.203
5.084 3.677 2.508
2.178 0.761 8.292
5.107 3.677 8.293
0.698 -0.761 19.094
5.095 0.785 5.401
3.615 -0.785 16.203
8.013 0.761 2.509
3.603 -3.677 13.310
6.532 -0.761 13.311
3.627 -3.677 19.095
5.095 -5.114 5.401
0.697 2.157 16.186
2.177 -2.157 5.384
6.533 2.157 16.220
8.014 -2.157 5.418
-0.562 0.684 14.700
2.191 3.436 14.703
-0.900 0.562 20.711
3.424 2.202 3.916
0.918 -0.684 3.898
0.580 -0.562 9.909
3.793 2.067 9.904
2.184 0.891 17.694
5.039 3.436 17.702
6.398 2.067 0.898
3.664 -0.891 6.892
6.767 2.202 6.886
1.944 -2.202 14.718
5.047 0.891 14.712
2.313 -2.067 20.705
3.672 -3.436 3.901
6.527 -0.891 3.910
4.918 -2.067 11.700
8.130 0.562 11.694
7.793 0.684 17.706
5.287 -2.202 17.688
9.610 -0.562 0.892
6.519 -3.436 6.901
9.273 -0.684 6.904
```

Peak list (10 most intense, 10° ≤ 2θ ≤ 90°, in order of rising 2θ)
| two_theta | I/Imax |
| --- | --- |
| 12.89 | 9 |
| 14.15 | 10 |
| 23.88 | 75 |
| 28.51 | 100 |
| 42.62 | 70 |
| 43.85 | 39 |
| 49.11 | 9 |
| 50.54 | 21 |
| 53.11 | 22 |
| 79.70 | 14 |